Structure and calculated powder diffraction line list of LiRuW2 (a crystal structure in Alexandria, relaxed with GGA-PBE; Cu Kα (λ = 1.5418 Å)).
Intensities are scaled so that the largest is 100.

Largest 6 diffraction maxima, low angle first, 5 to 70 degrees two-theta:
2θ = 9.87°, I 100.0
2θ = 36.71°, I 16.9
2θ = 40.26°, I 20.4
2θ = 40.57°, I 20.3
2θ = 40.77°, I 79.8
2θ = 58.49°, I 13.7

Cell and atoms:
```
LiRuW2
1.0
1.5519 -2.2237 0.0000
1.5519 2.2237 0.0000
0.0000 0.0000 8.9596
Li Ru W
1 1 2
direct
0.0000 0.0000 0.0000 Li
0.5000 0.5000 0.7570 Ru
0.0000 0.0000 0.5196 W
0.5000 0.5000 0.2681 W
```